1.
Structure and theoretical XRD peak list of Cs7Au3S (a cell relaxed with GGA-PBE; Cu Kα (weighted mean of Kα1 and Kα2)).
Kinematic intensities with the Lorentz-polarization factor, no thermal factor.

Crystal structure
a b c (Å): 8.670 8.670 10.097
angles (deg): 115.18 115.18 87.59
Fractional positions:
1 Cs 0.000 0.000 0.000
2 Cs 0.188 0.803 0.565
3 Cs 0.313 0.313 0.644
4 Cs 0.524 0.987 0.043
5 Cs 0.528 0.528 0.268
6 Cs 0.803 0.188 0.565
7 Cs 0.987 0.524 0.043
8 Au 0.347 0.915 0.312
9 Au 0.631 0.631 0.719
10 Au 0.915 0.347 0.312
11 S 0.199 0.199 0.879

The 6 most intense peaks (2θ from 15° to 90°), in order of rising 2θ:
| d (Å) | 2theta | I_rel |
| --- | --- | --- |
| 4.833 | 18.36 | 44 |
| 3.861 | 23.03 | 32 |
| 3.131 | 28.51 | 67 |
| 3.005 | 29.73 | 100 |
| 2.931 | 30.50 | 36 |
| 2.524 | 35.57 | 31 |

2.
Structure and theoretical XRD peak list of LaHoAu4 (a cell relaxed with GGA-PBE; Cu Kα (weighted mean of Kα1 and Kα2)).
Kinematic intensities with the Lorentz-polarization factor, no thermal factor.

Crystal structure
a b c (Å): 3.833 5.280 7.745
angles (deg): 70.42 89.96 68.99
Fractional positions:
1 La 0.000 0.000 0.000
2 Ho 0.000 0.000 0.500
3 Au 0.334 0.334 0.658
4 Au 0.343 0.320 0.194
5 Au 0.657 0.680 0.806
6 Au 0.666 0.666 0.342

The 6 most intense peaks (2θ from 15° to 90°), in order of rising 2θ:
| d (Å) | 2theta | I_rel |
| --- | --- | --- |
| 2.723 | 32.89 | 100 |
| 2.448 | 36.72 | 36 |
| 2.401 | 37.46 | 36 |
| 2.389 | 37.66 | 36 |
| 2.362 | 38.10 | 35 |
| 1.916 | 47.45 | 19 |

3.
Structure and theoretical XRD peak list of La4SnGeTe2 (a cell relaxed with GGA-PBE; Cu Kα (weighted mean of Kα1 and Kα2)).
Kinematic intensities with the Lorentz-polarization factor, no thermal factor.

Crystal structure
a b c (Å): 7.934 4.559 7.969
angles (deg): 90.00 109.25 90.00
Fractional positions:
1 La 0.235 0.000 0.229
2 La 0.247 0.500 0.764
3 La 0.753 0.500 0.236
4 La 0.765 0.000 0.771
5 Sn 0.500 0.000 0.000
6 Ge 0.000 0.500 0.000
7 Te 0.000 0.000 0.500
8 Te 0.500 0.500 0.500

The 6 most intense peaks (2θ from 15° to 90°), in order of rising 2θ:
| d (Å) | 2theta | I_rel |
| --- | --- | --- |
| 3.240 | 27.53 | 100 |
| 2.295 | 39.25 | 25 |
| 2.288 | 39.39 | 26 |
| 2.279 | 39.53 | 13 |
| 1.865 | 48.84 | 14 |
| 1.620 | 56.83 | 13 |

4.
Structure and theoretical XRD peak list of Hf5Mg3 (a cell relaxed with GGA-PBE; Cu Kα (weighted mean of Kα1 and Kα2)).
Kinematic intensities with the Lorentz-polarization factor, no thermal factor.

Crystal structure
a b c (Å): 3.178 6.340 8.885
angles (deg): 90.00 90.00 90.00
Fractional positions:
1 Hf 0.000 0.000 0.000
2 Hf 0.000 0.000 0.480
3 Hf 0.000 0.500 0.995
4 Hf 0.500 0.242 0.238
5 Hf 0.500 0.758 0.238
6 Mg 0.000 0.500 0.494
7 Mg 0.500 0.246 0.737
8 Mg 0.500 0.754 0.737

The 6 most intense peaks (2θ from 15° to 90°), in order of rising 2θ:
| d (Å) | 2theta | I_rel |
| --- | --- | --- |
| 2.989 | 29.89 | 15 |
| 2.583 | 34.74 | 100 |
| 2.244 | 40.18 | 34 |
| 2.221 | 40.62 | 16 |
| 1.579 | 58.46 | 22 |
| 1.353 | 69.47 | 13 |